Theoretical XRD peak list
Compound: ZnNi2Au
Radiation: Cu Ka
Structure: a DFT-relaxed cell (GGA-PBE, Alexandria)
Kinematic intensities with the Lorentz-polarization factor, no thermal factor.

abc: 3.900 3.900 7.035
angles: 90.00 90.00 90.00
Space group I4/mmm (No. 139)
Symmetry-distinct sites (fractional):
Zn: 0.000 0.000 0.000 (multiplicity 2)
Ni: 0.000 0.500 0.250 (multiplicity 4)
Au: 0.000 0.000 0.500 (multiplicity 2)

Top 10 peaks for 2θ = 10–90°, by angle:
Position (°2θ)  I/Imax  hkl
25.32  10.8  0 0 2
26.13  33.4  1 0 1
32.47  11.8  1 1 0
41.61  100.0  1 1 2
46.58  35.9  2 0 0
51.99  12.9  0 0 4
54.18  9.8  2 1 1
67.99  11.2  2 2 0
72.35  18.7  2 0 4
82.97  25.9  3 1 2